[1]
Computed powder XRD pattern of Dy2Sc2In3 for Cu Kα X-rays, from a DFT-relaxed cell (PBE, Alexandria).
Peak positions follow from Bragg's law for the DFT cell and can differ from measured ones.

Principal peaks in the range 10 to 90 degrees two-theta, by angle:
- hkl 1 5 0, 2θ = 27.27°, intensity 27
- hkl 1 7 0, 2θ = 33.46°, intensity 85
- hkl 1 1 1, 2θ = 33.82°, intensity 100
- hkl 0 6 1, 2θ = 36.33°, intensity 56
- hkl 2 0 0, 2θ = 38.49°, intensity 33
- hkl 0 8 1, 2θ = 42.10°, intensity 14
- hkl 2 6 1, 2θ = 53.96°, intensity 36
- hkl 1 13 1, 2θ = 63.32°, intensity 22
- hkl 3 1 1, 2θ = 66.65°, intensity 14
- hkl 1 7 2, 2θ = 67.42°, intensity 21

Crystal structure
```
data_Dy2Sc2In3
_chemical_formula_sum 'Dy4 Sc4 In6'
_cell_length_a 4.6782
_cell_length_b 22.8669
_cell_length_c 3.2492
_cell_angle_alpha 90.00
_cell_angle_beta 90.00
_cell_angle_gamma 90.00
_space_group_name_H-M_alt 'C m m m'
_space_group_IT_number 65
_space_group_name_Hall '-C 2 2'
loop_
_atom_site_label
_atom_site_type_symbol
_atom_site_fract_x
_atom_site_fract_y
_atom_site_fract_z
Dy1 Dy 0.0000 0.0741 0.0000
Sc1 Sc 0.0000 0.2108 0.0000
In1 In 0.0000 0.3423 0.5000
In2 In 0.0000 0.5000 0.5000
```


[2]
Computed powder XRD pattern of DySc4In5 for Cu Kα X-rays, from a DFT-relaxed cell (PBE, Alexandria).
Peak positions follow from Bragg's law for the DFT cell and can differ from measured ones.

Principal peaks in the range 10 to 90 degrees two-theta, by angle:
- hkl 0 0 5, 2θ = 20.02°, intensity 6
- hkl 1 0 0, 2θ = 27.56°, intensity 6
- hkl 1 0 5, 2θ = 34.30°, intensity 100
- hkl 1 1 0, 2θ = 39.37°, intensity 35
- hkl 0 0 10, 2θ = 40.68°, intensity 14
- hkl 2 0 0, 2θ = 56.90°, intensity 11
- hkl 1 1 10, 2θ = 57.90°, intensity 20
- hkl 2 1 5, 2θ = 68.14°, intensity 25
- hkl 1 0 15, 2θ = 69.95°, intensity 10
- hkl 2 0 10, 2θ = 72.27°, intensity 10

Crystal structure
```
data_DySc4In5
_chemical_formula_sum 'Dy1 Sc4 In5'
_cell_length_a 3.2367
_cell_length_b 3.2367
_cell_length_c 22.1796
_cell_angle_alpha 90.00
_cell_angle_beta 90.00
_cell_angle_gamma 90.00
_space_group_name_H-M_alt 'P 4/m m m'
_space_group_IT_number 123
_space_group_name_Hall '-P 4 2'
loop_
_atom_site_label
_atom_site_type_symbol
_atom_site_fract_x
_atom_site_fract_y
_atom_site_fract_z
Dy1 Dy 0.0000 0.0000 0.0000
Sc1 Sc 0.0000 0.0000 0.2057
Sc2 Sc 0.0000 0.0000 0.4019
In1 In 0.5000 0.5000 0.1076
In2 In 0.5000 0.5000 0.3039
In3 In 0.5000 0.5000 0.5000
```


[3]
Computed powder XRD pattern of Dy2ScIn2 for Cu Kα X-rays, from a DFT-relaxed cell (PBE, Alexandria).
Peak positions follow from Bragg's law for the DFT cell and can differ from measured ones.

Principal peaks in the range 10 to 90 degrees two-theta, by angle:
- hkl 1 1 0, 2θ = 15.92°, intensity 15
- hkl 2 0 0, 2θ = 22.59°, intensity 9
- hkl 2 0 1, 2θ = 30.39°, intensity 16
- hkl 2 1 1, 2θ = 32.50°, intensity 100
- hkl 3 1 0, 2θ = 36.08°, intensity 23
- hkl 0 0 2, 2θ = 40.79°, intensity 15
- hkl 4 1 1, 2θ = 52.18°, intensity 13
- hkl 3 1 2, 2θ = 55.58°, intensity 13
- hkl 5 2 1, 2θ = 67.48°, intensity 11
- hkl 2 1 3, 2θ = 69.05°, intensity 11

Crystal structure
```
data_Dy2ScIn2
_chemical_formula_sum 'Dy4 Sc2 In4'
_cell_length_a 7.8724
_cell_length_b 7.8724
_cell_length_c 4.4244
_cell_angle_alpha 90.00
_cell_angle_beta 90.00
_cell_angle_gamma 90.00
_space_group_name_H-M_alt 'P 4/m b m'
_space_group_IT_number 127
_space_group_name_Hall '-P 4 2ab'
loop_
_atom_site_label
_atom_site_type_symbol
_atom_site_fract_x
_atom_site_fract_y
_atom_site_fract_z
Dy1 Dy 0.1727 0.3273 0.0000
Sc1 Sc 0.0000 0.0000 0.5000
In1 In 0.1306 0.6306 0.5000
```


[4]
Computed powder XRD pattern of Dy4ScIn5 for Cu Kα X-rays, from a DFT-relaxed cell (PBE, Alexandria).
Peak positions follow from Bragg's law for the DFT cell and can differ from measured ones.

Principal peaks in the range 10 to 90 degrees two-theta, by angle:
- hkl 1 0 4, 2θ = 30.70°, intensity 7
- hkl 1 0 5, 2θ = 33.79°, intensity 100
- hkl 1 1 0, 2θ = 34.71°, intensity 49
- hkl 0 0 10, 2θ = 47.14°, intensity 8
- hkl 2 0 0, 2θ = 49.90°, intensity 17
- hkl 1 1 10, 2θ = 59.86°, intensity 16
- hkl 2 1 5, 2θ = 61.63°, intensity 34
- hkl 2 0 10, 2θ = 71.08°, intensity 9
- hkl 3 0 5, 2θ = 83.16°, intensity 7
- hkl 3 1 0, 2θ = 83.68°, intensity 8

Crystal structure
```
data_Dy4ScIn5
_chemical_formula_sum 'Dy4 Sc1 In5'
_cell_length_a 3.6548
_cell_length_b 3.6548
_cell_length_c 19.2775
_cell_angle_alpha 90.00
_cell_angle_beta 90.00
_cell_angle_gamma 90.00
_space_group_name_H-M_alt 'P 4/m m m'
_space_group_IT_number 123
_space_group_name_Hall '-P 4 2'
loop_
_atom_site_label
_atom_site_type_symbol
_atom_site_fract_x
_atom_site_fract_y
_atom_site_fract_z
Dy1 Dy 0.0000 0.0000 0.1034
Dy2 Dy 0.0000 0.0000 0.3090
Sc1 Sc 0.0000 0.0000 0.5000
In1 In 0.5000 0.5000 0.0000
In2 In 0.5000 0.5000 0.2066
In3 In 0.5000 0.5000 0.4116
```


[5]
Computed powder XRD pattern of Dy2YScIn2 for Cu Kα X-rays, from a DFT-relaxed cell (PBE, Alexandria).
Peak positions follow from Bragg's law for the DFT cell and can differ from measured ones.

Principal peaks in the range 10 to 90 degrees two-theta, by angle:
- hkl 1 1 2, 2θ = 33.15°, intensity 100
- hkl 1 3 0, 2θ = 33.86°, intensity 67
- hkl 2 0 0, 2θ = 33.99°, intensity 34
- hkl 0 4 2, 2θ = 48.06°, intensity 12
- hkl 2 2 2, 2θ = 48.19°, intensity 22
- hkl 2 4 2, 2θ = 60.13°, intensity 23
- hkl 3 1 2, 2θ = 60.31°, intensity 12
- hkl 3 3 0, 2θ = 60.74°, intensity 12
- hkl 2 0 4, 2θ = 66.07°, intensity 28
- hkl 3 3 4, 2θ = 86.31°, intensity 9

Crystal structure
```
data_Dy2YScIn2
_chemical_formula_sum 'Dy4 Y2 Sc2 In4'
_cell_length_a 5.2752
_cell_length_b 9.1828
_cell_length_c 6.6939
_cell_angle_alpha 90.00
_cell_angle_beta 90.00
_cell_angle_gamma 90.00
_space_group_name_H-M_alt 'P m c 21'
_space_group_IT_number 26
loop_
_space_group_symop_operation_xyz
'x,y,z'
'-x,-y,z+1/2'
'-x,y,z'
'x,-y,z+1/2'
loop_
_atom_site_label
_atom_site_type_symbol
_atom_site_fract_x
_atom_site_fract_y
_atom_site_fract_z
Dy1 Dy 0.0000 0.0062 0.0000
Dy2 Dy 0.5000 0.1635 0.2570
Y1 Y 0.5000 0.4948 0.9980
Sc1 Sc 0.0000 0.3294 0.7418
In1 In 0.0000 0.3441 0.2475
In2 In 0.5000 0.1753 0.7517
```


[6]
Computed powder XRD pattern of DyIn2Se4 for Cu Kα X-rays, from a DFT-relaxed cell (PBE, Alexandria).
Peak positions follow from Bragg's law for the DFT cell and can differ from measured ones.

Principal peaks in the range 10 to 90 degrees two-theta, by angle:
- hkl 1 0 0, 2θ = 14.50°, intensity 12
- hkl 1 0 1, 2θ = 20.17°, intensity 16
- hkl 1 1 1, 2θ = 24.93°, intensity 100
- hkl 2 1 1, 2θ = 35.78°, intensity 9
- hkl 2 0 2, 2θ = 41.01°, intensity 52
- hkl 2 2 0, 2θ = 41.82°, intensity 24
- hkl 1 1 3, 2θ = 47.88°, intensity 17
- hkl 3 1 1, 2θ = 49.30°, intensity 30
- hkl 3 1 3, 2θ = 65.42°, intensity 13
- hkl 4 2 2, 2θ = 75.81°, intensity 16

Crystal structure
```
data_DyIn2Se4
_chemical_formula_sum 'Dy1 In2 Se4'
_cell_length_a 6.1094
_cell_length_b 6.1094
_cell_length_c 6.3467
_cell_angle_alpha 90.00
_cell_angle_beta 90.00
_cell_angle_gamma 90.00
_space_group_name_H-M_alt 'P -4 2 m'
_space_group_IT_number 111
loop_
_space_group_symop_operation_xyz
'x,y,z'
'y,-x,-z'
'-x,-y,z'
'-y,x,-z'
'x,-y,-z'
'y,x,z'
'-x,y,-z'
'-y,-x,z'
loop_
_atom_site_label
_atom_site_type_symbol
_atom_site_fract_x
_atom_site_fract_y
_atom_site_fract_z
Dy1 Dy 0.0000 0.0000 0.0000
In1 In 0.0000 0.5000 0.5000
Se1 Se 0.2645 0.2645 0.2429
```


[7]
Computed powder XRD pattern of Dy5InSe4 for Cu Kα X-rays, from a DFT-relaxed cell (PBE, Alexandria).
Peak positions follow from Bragg's law for the DFT cell and can differ from measured ones.

Principal peaks in the range 10 to 90 degrees two-theta, by angle:
- hkl 2 1 1, 2θ = 26.31°, intensity 17
- hkl 0 0 2, 2θ = 30.47°, intensity 100
- hkl 1 3 2, 2θ = 43.64°, intensity 74
- hkl 5 0 1, 2θ = 51.64°, intensity 5
- hkl 4 2 2, 2θ = 54.16°, intensity 26
- hkl 2 6 0, 2θ = 63.36°, intensity 8
- hkl 2 6 2, 2θ = 71.93°, intensity 22
- hkl 1 3 4, 2θ = 72.09°, intensity 11
- hkl 7 1 2, 2θ = 80.10°, intensity 17
- hkl 4 2 4, 2θ = 80.24°, intensity 8

Crystal structure
```
data_Dy5InSe4
_chemical_formula_sum 'Dy10 In2 Se8'
_cell_length_a 9.2843
_cell_length_b 9.2843
_cell_length_c 5.8559
_cell_angle_alpha 90.00
_cell_angle_beta 90.00
_cell_angle_gamma 90.00
_space_group_name_H-M_alt 'I 4/m'
_space_group_IT_number 87
_space_group_name_Hall '-I 4'
loop_
_atom_site_label
_atom_site_type_symbol
_atom_site_fract_x
_atom_site_fract_y
_atom_site_fract_z
Dy1 Dy 0.0000 0.0000 0.0000
Dy2 Dy 0.1001 0.3046 0.5000
In1 In 0.0000 0.0000 0.5000
Se1 Se 0.1010 0.3008 0.0000
```


[8]
Computed powder XRD pattern of Dy11In6Si4 for Cu Kα X-rays, from a DFT-relaxed cell (PBE, Alexandria).
Peak positions follow from Bragg's law for the DFT cell and can differ from measured ones.

Principal peaks in the range 10 to 90 degrees two-theta, by angle:
- hkl 3 0 3, 2θ = 28.59°, intensity 17
- hkl 3 2 3, 2θ = 32.67°, intensity 100
- hkl 3 3 0, 2θ = 33.12°, intensity 79
- hkl 1 1 6, 2θ = 35.06°, intensity 11
- hkl 3 0 5, 2θ = 36.35°, intensity 21
- hkl 5 0 3, 2θ = 42.81°, intensity 12
- hkl 6 0 0, 2θ = 47.53°, intensity 11
- hkl 6 3 1, 2θ = 53.87°, intensity 13
- hkl 4 4 6, 2θ = 56.75°, intensity 14
- hkl 7 2 5, 2θ = 65.87°, intensity 21

Crystal structure
```
data_Dy11In6Si4
_chemical_formula_sum 'Dy44 In24 Si16'
_cell_length_a 11.4815
_cell_length_b 11.4815
_cell_length_c 16.1838
_cell_angle_alpha 90.00
_cell_angle_beta 90.00
_cell_angle_gamma 90.00
_space_group_name_H-M_alt 'I 4/m m m'
_space_group_IT_number 139
_space_group_name_Hall '-I 4 2'
loop_
_atom_site_label
_atom_site_type_symbol
_atom_site_fract_x
_atom_site_fract_y
_atom_site_fract_z
Dy1 Dy 0.0000 0.0000 0.1688
Dy2 Dy 0.0000 0.2503 0.3149
Dy3 Dy 0.0000 0.3479 0.1009
Dy4 Dy 0.1665 0.1665 0.5000
In1 In 0.1288 0.1288 0.0000
In2 In 0.2062 0.2062 0.1708
Si1 Si 0.0000 0.0000 0.3799
Si2 Si 0.0000 0.3468 0.5000
Si3 Si 0.0000 0.5000 0.2500
```